Theoretical powder diffraction line list of LiCo2OF3 for CuKα, from a PBE+U-relaxed structure.

Structure:
```
LiCo2OF3
1.0
6.1215 0.0000 0.0000
-0.0579 6.1577 0.0000
-0.0199 -0.0471 8.4931
Li Co O F
4 8 4 12
Direct
0.0000 0.0000 0.0000
0.0161 0.4913 0.4912
0.2522 0.7257 0.2397
0.7659 0.7344 0.7493
0.2488 0.0147 0.6025
0.2530 0.4648 0.8881
0.2542 0.2552 0.2409
0.4902 0.4796 0.4821
0.5008 0.0044 0.9931
0.7253 0.4712 0.1166
0.7580 0.9728 0.3739
0.7634 0.2381 0.7603
0.2458 0.2650 0.4798
0.2540 0.2101 0.0083
0.4807 0.4983 0.2530
0.7476 0.2148 0.9850
0.0008 0.5061 0.2494
0.0163 0.9778 0.2431
0.2416 0.7316 0.4911
0.2554 0.7535 0.9963
0.4893 0.9772 0.2498
0.5178 0.4868 0.7354
0.5229 0.9793 0.7350
0.7398 0.7519 0.9816
0.7521 0.7138 0.5086
0.7571 0.2408 0.5100
0.9861 0.9815 0.7432
0.9907 0.4926 0.7418
```

Principal peaks in the range 5 to 70 degrees two-theta, in order of rising 2θ:
- d 6.141, 2θ = 14.4°, rel. 88, hkl 0 1 0
- d 3.880, 2θ = 22.9°, rel. 55, hkl 1 -1 1
- d 3.079, 2θ = 29.0°, rel. 35, hkl 0 2 0
- d 3.041, 2θ = 29.4°, rel. 100, hkl -1 1 2
- d 2.625, 2θ = 34.2°, rel. 61, hkl -1 2 1
- d 2.616, 2θ = 34.3°, rel. 92, hkl 2 -1 1
- d 2.601, 2θ = 34.5°, rel. 96, hkl 2 1 1
- d 2.574, 2θ = 34.9°, rel. 63, hkl 1 0 -3
- d 2.567, 2θ = 35.0°, rel. 62, hkl 1 0 3
- d 1.519, 2θ = 61.0°, rel. 66, hkl -2 2 4